This entry pairs a crystal structure of Si13Os4 with its calculated powder diffraction line list. Radiation: a wavelength of 1.5418 Å. Structure: a cell relaxed with GGA-PBE.
Kinematic intensities with the Lorentz-polarization factor, no thermal factor.

Peak list (12 most intense, 2θ = 10–80°, by angle)
4.237 Å, rel. 61; 4.211 Å, rel. 46; 3.550 Å, rel. 50; 3.449 Å, rel. 75; 3.329 Å, rel. 34; 3.297 Å, rel. 84; 3.212 Å, rel. 44; 3.176 Å, rel. 32; 2.190 Å, rel. 80; 2.056 Å, rel. 35; 2.037 Å, rel. 100; 1.976 Å, rel. 37

Crystal structure
```
17
Lattice="8.8741 -2.0371 0.0000 8.8741 2.0371 0.0000 -2.2922 0.0000 6.8986" Properties=species:S:1:pos:R:3 pbc="T T T"
Si 0.0000 0.0000 0.0000
Si -0.2922 0.0000 5.7624
Si 0.8975 0.0000 2.5331
Si 3.2334 0.0000 2.5978
Si 5.0577 0.0000 0.5883
Si 4.3998 0.0000 5.8665
Si 6.4773 0.0000 2.8159
Si 8.9788 0.0000 4.0827
Si 11.0564 0.0000 1.0321
Si 10.3984 0.0000 6.3102
Si 12.2227 0.0000 4.3008
Si 14.5586 0.0000 4.3654
Si 15.7483 0.0000 1.1361
Os 2.0169 0.0000 4.9168
Os 6.7229 0.0000 5.2329
Os 8.7332 0.0000 1.6657
Os 13.4392 0.0000 1.9818
```

=====

This entry pairs a crystal structure of Dy2LuIn3Ir2 with its calculated powder diffraction line list. Radiation: a wavelength of 1.5418 Å. Structure: a cell relaxed with GGA-PBE.
Kinematic intensities with the Lorentz-polarization factor, no thermal factor.

Peak list (12 most intense, 2θ = 10–80°, by angle)
6.578 Å, rel. 29; 2.626 Å, rel. 100; 2.492 Å, rel. 24; 2.482 Å, rel. 44; 2.439 Å, rel. 71; 2.195 Å, rel. 13; 2.053 Å, rel. 10; 1.819 Å, rel. 23; 1.468 Å, rel. 18; 1.467 Å, rel. 8; 1.397 Å, rel. 9; 1.392 Å, rel. 11

Crystal structure
```
16
Lattice="3.6380 0.0000 0.0000 0.0000 13.1123 0.0000 0.0000 0.0000 7.6140" Properties=species:S:1:pos:R:3 pbc="T T T"
Dy 0.0000 2.7648 0.0000
Dy 0.0000 3.7914 3.8070
Dy 0.0000 9.3209 3.8070
Dy 0.0000 10.3475 0.0000
Lu 0.0000 0.0000 2.7886
Lu 0.0000 6.5562 6.5956
In 1.8190 0.0000 0.1988
In 1.8190 1.5274 5.1077
In 1.8190 5.0287 1.3006
In 1.8190 6.5562 4.0058
In 1.8190 8.0836 1.3006
In 1.8190 11.5849 5.1077
Ir 1.8190 2.1548 2.2135
Ir 1.8190 4.4014 6.0205
Ir 1.8190 8.7109 6.0205
Ir 1.8190 10.9575 2.2135
```

=====

This entry pairs a crystal structure of CuPF7 with its calculated powder diffraction line list. Radiation: a wavelength of 1.5418 Å. Structure: a cell relaxed with GGA-PBE.
Kinematic intensities with the Lorentz-polarization factor, no thermal factor.

Peak list (12 most intense, 2θ = 10–80°, by angle)
4.893 Å, rel. 100; 4.285 Å, rel. 26; 3.279 Å, rel. 24; 2.901 Å, rel. 31; 2.797 Å, rel. 51; 2.763 Å, rel. 21; 2.446 Å, rel. 13; 2.192 Å, rel. 19; 1.975 Å, rel. 19; 1.881 Å, rel. 23; 1.640 Å, rel. 17; 1.606 Å, rel. 19

Crystal structure
```
18
Lattice="-3.3473 5.0945 2.7890 3.3473 -5.0945 2.7890 3.3473 5.0945 -2.7890" Properties=species:S:1:pos:R:3 pbc="T T T"
Cu -1.6737 2.5472 1.3945
Cu 1.6737 2.5472 1.3945
P 0.0000 0.0000 0.0000
P 0.0000 5.0945 0.0000
F 1.1602 1.1654 -0.0855
F 5.5345 1.1654 -0.0855
F 3.3473 0.0637 1.2098
F 0.0000 0.0637 1.5792
F 3.3473 2.5472 0.6103
F 1.1602 3.9291 -0.0855
F 2.1872 -1.1654 2.7035
F 1.1602 6.2598 0.0855
F 2.1872 1.1654 2.8745
F 0.0000 2.5472 2.1787
F 3.3473 5.0308 1.2098
F 0.0000 5.0308 1.5792
F -2.1872 3.9291 2.8745
F 2.1872 3.9291 2.8745
```

=====

This entry pairs a crystal structure of Tb2GdSn3Pd3 with its calculated powder diffraction line list. Radiation: a wavelength of 1.5418 Å. Structure: a cell relaxed with GGA-PBE.
Kinematic intensities with the Lorentz-polarization factor, no thermal factor.

Peak list (12 most intense, 2θ = 10–80°, by angle)
2.753 Å, rel. 100; 2.538 Å, rel. 86; 2.474 Å, rel. 46; 2.182 Å, rel. 35; 2.107 Å, rel. 21; 2.009 Å, rel. 26; 1.816 Å, rel. 12; 1.655 Å, rel. 16; 1.560 Å, rel. 23; 1.478 Å, rel. 20; 1.407 Å, rel. 31; 1.347 Å, rel. 14

Crystal structure
```
9
Lattice="4.0183 0.0000 0.0000 0.0000 6.5476 3.7785 0.0000 -6.5476 3.7785" Properties=species:S:1:pos:R:3 pbc="T T T"
Tb 0.0000 -3.8800 3.7785
Tb 0.0000 3.8800 3.7785
Gd 0.0000 0.0000 2.9374
Sn 2.0092 0.0000 0.4065
Sn 2.0092 -1.6880 5.0447
Sn 2.0092 1.6880 5.0447
Pd 0.0000 0.0000 6.0190
Pd 2.0092 -2.1852 2.2383
Pd 2.0092 2.1852 2.2383
```

=====

This entry pairs a crystal structure of La2Ho2CBr3Cl2 with its calculated powder diffraction line list. Radiation: a wavelength of 1.5418 Å. Structure: a cell relaxed with GGA-PBE.
Kinematic intensities with the Lorentz-polarization factor, no thermal factor.

Peak list (12 most intense, 2θ = 10–80°, by angle)
8.762 Å, rel. 26; 8.440 Å, rel. 100; 4.314 Å, rel. 12; 2.918 Å, rel. 48; 2.905 Å, rel. 91; 2.624 Å, rel. 20; 2.611 Å, rel. 19; 2.321 Å, rel. 19; 2.168 Å, rel. 14; 2.068 Å, rel. 20; 2.051 Å, rel. 20; 1.957 Å, rel. 16

Crystal structure
```
10
Lattice="9.0019 -1.9566 0.0000 9.0019 1.9566 0.0000 -1.9874 0.0000 8.4403" Properties=species:S:1:pos:R:3 pbc="T T T"
La -0.4049 0.0000 1.7570
La 16.4213 0.0000 6.6833
Ho 4.6838 0.0000 7.8648
Ho 11.3325 0.0000 0.5755
C 9.0019 0.0000 0.0000
Br 1.4624 0.0000 7.1921
Br 8.0082 0.0000 4.2201
Br 14.5539 0.0000 1.2482
Cl 2.4281 0.0000 2.4686
Cl 13.5882 0.0000 5.9717
```

=====

This entry pairs a crystal structure of Sm2Dy2IBr4N with its calculated powder diffraction line list. Radiation: a wavelength of 1.5418 Å. Structure: a cell relaxed with GGA-PBE.
Kinematic intensities with the Lorentz-polarization factor, no thermal factor.

Peak list (12 most intense, 2θ = 10–80°, by angle)
8.653 Å, rel. 26; 8.373 Å, rel. 47; 4.269 Å, rel. 12; 3.125 Å, rel. 14; 2.884 Å, rel. 31; 2.867 Å, rel. 100; 2.587 Å, rel. 13; 2.572 Å, rel. 15; 2.152 Å, rel. 11; 2.040 Å, rel. 18; 2.027 Å, rel. 19; 1.922 Å, rel. 15

Crystal structure
```
10
Lattice="8.8960 -1.9218 0.0000 8.8960 1.9218 0.0000 -1.9995 0.0000 8.3729" Properties=species:S:1:pos:R:3 pbc="T T T"
Sm -0.6041 0.0000 2.5775
Sm 16.3967 0.0000 5.7954
Dy 5.6307 0.0000 3.6319
Dy 10.1619 0.0000 4.7410
I 8.8960 0.0000 0.0000
Br 1.3490 0.0000 6.8602
Br 2.3733 0.0000 2.8751
Br 13.4193 0.0000 5.4978
Br 14.4437 0.0000 1.5127
N 7.8963 0.0000 4.1864
```

=====

This entry pairs a crystal structure of Dy2HoIn3Pt2 with its calculated powder diffraction line list. Radiation: a wavelength of 1.5418 Å. Structure: a cell relaxed with GGA-PBE.
Kinematic intensities with the Lorentz-polarization factor, no thermal factor.

Peak list (12 most intense, 2θ = 10–80°, by angle)
6.685 Å, rel. 27; 2.637 Å, rel. 100; 2.527 Å, rel. 70; 2.453 Å, rel. 69; 2.228 Å, rel. 19; 2.070 Å, rel. 15; 1.854 Å, rel. 16; 1.805 Å, rel. 17; 1.649 Å, rel. 21; 1.469 Å, rel. 26; 1.412 Å, rel. 18; 1.353 Å, rel. 24

Crystal structure
```
16
Lattice="3.6106 0.0000 0.0000 0.0000 13.3685 0.0000 0.0000 0.0000 7.7206" Properties=species:S:1:pos:R:3 pbc="T T T"
Dy 0.0000 2.8150 0.0000
Dy 0.0000 3.8693 3.8603
Dy 0.0000 9.4992 3.8603
Dy 0.0000 10.5536 0.0000
Ho 0.0000 0.0000 4.8775
Ho 0.0000 6.6843 1.0172
In 1.8053 0.0000 7.5666
In 1.8053 1.5405 2.5154
In 1.8053 5.1437 6.3757
In 1.8053 6.6843 3.7063
In 1.8053 8.2248 6.3757
In 1.8053 11.8280 2.5154
Pt 1.8053 2.2267 5.4857
Pt 1.8053 4.4575 1.6254
Pt 1.8053 8.9110 1.6254
Pt 1.8053 11.1418 5.4857
```

=====

This entry pairs a crystal structure of CoW3Au with its calculated powder diffraction line list. Radiation: a wavelength of 1.5418 Å. Structure: a cell relaxed with GGA-PBE.
Kinematic intensities with the Lorentz-polarization factor, no thermal factor.

Peak list (12 most intense, 2θ = 10–80°, by angle)
4.861 Å, rel. 71; 3.225 Å, rel. 100; 2.765 Å, rel. 97; 2.431 Å, rel. 82; 2.280 Å, rel. 41; 2.155 Å, rel. 48; 2.040 Å, rel. 77; 1.941 Å, rel. 48; 1.881 Å, rel. 33; 1.663 Å, rel. 31; 1.562 Å, rel. 68; 1.240 Å, rel. 25

Crystal structure
```
10
Lattice="-3.2250 3.2250 4.8612 3.2250 -3.2250 4.8612 3.2250 3.2250 -4.8612" Properties=species:S:1:pos:R:3 pbc="T T T"
Co 3.2250 0.0000 2.4306
Co 0.0000 3.2250 2.4306
W 4.0469 0.8219 0.0000
W 0.0000 0.0000 2.4306
W 0.8219 2.4030 0.0000
W 2.4030 0.8219 4.8612
W 0.0000 0.0000 7.2918
W -0.8219 2.4030 4.8612
Au 0.0000 0.0000 0.0000
Au 0.0000 0.0000 4.8612
```